This entry pairs a crystal structure of Ho4TmMg2 with its simulated powder X-ray diffraction pattern. Radiation: Cu Kα (λ = 1.5418 Å). Structure: a DFT-relaxed cell (PBE, Alexandria).
Kinematic intensities with the Lorentz-polarization factor, no thermal factor.

Cell and atoms:
a = 5.3939 Å, b = 5.3939 Å, c = 23.8077 Å
α = 90.00°, β = 90.00°, γ = 120.00°
Space group R-3m (No. 166, hexagonal axes)
One atom of each set of equivalent atoms:
Ho: 0.0000 0.0000 0.0736 [6 per cell]
Ho: 0.0000 0.0000 0.3458 [6 per cell]
Tm: 0.0000 0.0000 0.5000 [3 per cell]
Mg: 0.0000 0.0000 0.2109 [6 per cell]

Principal peaks in the range 15 to 90 degrees two-theta, in order of rising 2θ:
26.73 deg, rel. 33; 32.57 deg, rel. 96; 33.22 deg, rel. 100; 47.21 deg, rel. 34; 57.69 deg, rel. 31; 58.94 deg, rel. 35; 59.35 deg, rel. 19; 79.11 deg, rel. 20